The following is a calculated powder XRD pattern of In3GaI4. It was derived from the PBE geometry in Alexandria, using a wavelength of 1.5418 Å.
Peak positions follow from Bragg's law for the DFT cell and can differ from measured ones.

Structure:
Cell lengths 8.506, 9.791, 8.456 Å; angles 90.00, 109.46, 90.00 degrees
Space group P2/c (No. 13)
Unique sites:
In  0.000  0.124  0.250 x2
In  0.000  0.373  0.750 x2
In  0.500  0.373  0.250 x2
Ga  0.500  0.123  0.750 x2
I  0.255  0.369  0.507 x4
I  0.262  0.118  0.998 x4

Main lines, by angle (2θ = 10–90°):
hkl 1 2 1, 2θ = 25.73°, I = 1000
hkl 2 0 2, 2θ = 36.67°, I = 517
hkl 1 2 -3, 2θ = 36.79°, I = 258
hkl 2 4 -2, 2θ = 45.38°, I = 139
hkl 2 4 2, 2θ = 52.89°, I = 131
hkl 4 4 0, 2θ = 59.61°, I = 118
hkl 3 2 3, 2θ = 59.72°, I = 119
hkl 0 4 4, 2θ = 59.84°, I = 119

=====

The following is a calculated powder XRD pattern of Th2ZnTc2. It was derived from the PBE geometry in Alexandria, using a wavelength of 1.5418 Å.
Peak positions follow from Bragg's law for the DFT cell and can differ from measured ones.

Structure:
Cell lengths 10.230, 5.409, 8.337 Å; angles 90.00, 108.19, 90.00 degrees
Space group C2/c (No. 15)
Unique sites:
Th  0.146  0.150  0.140 x8
Zn  0.000  0.371  0.750 x4
Tc  0.141  0.343  0.531 x8

Main lines, by angle (2θ = 10–90°):
hkl 2 0 -2, 2θ = 24.16°, I = 1000
hkl 3 1 -1, 2θ = 31.12°, I = 531
hkl 2 0 2, 2θ = 33.35°, I = 905
hkl 0 2 1, 2θ = 35.06°, I = 878
hkl 1 1 -3, 2θ = 36.37°, I = 877
hkl 4 0 0, 2θ = 37.01°, I = 787
hkl 2 2 -1, 2θ = 38.05°, I = 796
hkl 2 2 1, 2θ = 41.49°, I = 564

=====

The following is a calculated powder XRD pattern of LiSiNi. It was derived from the PBE geometry in Alexandria, using a wavelength of 1.5418 Å.
Peak positions follow from Bragg's law for the DFT cell and can differ from measured ones.

Structure:
Cell lengths 4.385, 7.594, 4.321 Å; angles 90.00, 107.06, 90.00 degrees
Space group C2/c (No. 15)
Unique sites:
Li  0.000  0.067  0.250 x4
Si  0.000  0.278  0.750 x4
Ni  0.000  0.394  0.250 x4

Main lines, by angle (2θ = 10–90°):
hkl 1 1 0, 2θ = 24.25°, I = 1000
hkl 0 2 1, 2θ = 32.01°, I = 448
hkl 2 0 0, 2θ = 43.16°, I = 376
hkl 0 0 2, 2θ = 43.83°, I = 359
hkl 1 3 -1, 2θ = 44.15°, I = 570
hkl 1 1 -2, 2θ = 44.46°, I = 188
hkl 1 3 1, 2θ = 50.43°, I = 378
hkl 2 0 -2, 2θ = 52.27°, I = 208

=====

The following is a calculated powder XRD pattern of YH8Ir2Rh. It was derived from the PBE geometry in Alexandria, using a wavelength of 1.5418 Å.
Peak positions follow from Bragg's law for the DFT cell and can differ from measured ones.

Structure:
Cell lengths 4.6452, 4.6452, 16.7970 Å; angles 90.00, 90.00, 120.00 degrees
Space group R-3 (No. 148, hexagonal axes)
Unique sites:
Y  0.0000  0.0000  0.0000 x3
H  0.0000  0.0000  0.3204 x6
H  0.0084  0.6364  0.2292 x18
Ir  0.0000  0.0000  0.2248 x6
Rh  0.0000  0.0000  0.5000 x3

Main lines, by angle (2θ = 10–90°):
hkl 0 0 3, 2θ = 15.83°, I = 230
hkl 0 1 2, 2θ = 24.54°, I = 179
hkl 1 0 4, 2θ = 30.78°, I = 1000
hkl 0 1 5, 2θ = 34.79°, I = 182
hkl 1 1 0, 2θ = 38.77°, I = 706
hkl 1 0 7, 2θ = 43.94°, I = 189
hkl 0 2 4, 2θ = 50.30°, I = 256
hkl 2 1 4, 2θ = 65.26°, I = 233

=====

Q: Number 1 is which compound?
A: In3GaI4